# 1
Mn2NiH3: theoretical PXRD pattern (a wavelength of 1.5418 Å), based on the GGA-PBE geometry in Alexandria.

Structure:
```
data_Mn2NiH3
_chemical_formula_sum 'Mn8 Ni4 H12'
_space_group_name_H-M_alt 'F m m m'
_space_group_IT_number 69
_space_group_name_Hall '-F 2 2'
_cell_length_a 3.7054
_cell_length_b 3.7210
_cell_length_c 12.0828
_cell_angle_alpha 90.00
_cell_angle_beta 90.00
_cell_angle_gamma 90.00
loop_
_atom_site_label
_atom_site_fract_x
_atom_site_fract_y
_atom_site_fract_z
Mn1 0.0000 0.0000 0.1622
Ni1 0.0000 0.0000 0.5000
H1 0.0000 0.0000 0.0000
H2 0.0000 0.0000 0.3183
```

Most intense lines, 2θ from 15° to 90°, sorted by position:
(hkl)	Position (°2θ)	I/Imax
1 1 3	41.0	100
0 0 6	45.0	20
0 2 0	49.0	16
2 0 0	49.2	15
1 1 9	80.3	12
1 3 3	86.1	10

***

# 2
Mn2NiH4: theoretical PXRD pattern (a wavelength of 1.5418 Å), based on the GGA-PBE geometry in Alexandria.

Structure:
```
data_Mn2NiH4
_chemical_formula_sum 'Mn4 Ni2 H8'
_space_group_name_H-M_alt 'P 1 21/m 1'
_space_group_IT_number 11
_space_group_name_Hall '-P 2yb'
_cell_length_a 4.9607
_cell_length_b 4.2980
_cell_length_c 5.2174
_cell_angle_alpha 90.00
_cell_angle_beta 106.48
_cell_angle_gamma 90.00
loop_
_atom_site_label
_atom_site_fract_x
_atom_site_fract_y
_atom_site_fract_z
Mn1 0.1306 0.2500 0.0277
Mn2 0.1882 0.2500 0.5434
Ni1 0.3322 0.7500 0.8326
H1 0.0258 0.5067 0.2448
H2 0.4039 0.2500 0.8870
H3 0.4231 0.2500 0.3201
```

Most intense lines, 2θ from 15° to 90°, sorted by position:
(hkl)	Position (°2θ)	I/Imax
1 0 -1	21.8	43
0 1 1	27.4	44
1 1 -2	41.4	67
0 1 2	41.8	53
0 2 0	42.0	78
2 1 0	43.5	100

***

# 3
Mn4Ni12H: theoretical PXRD pattern (a wavelength of 1.5418 Å), based on the GGA-PBE geometry in Alexandria.

Structure:
```
data_Mn4Ni12H
_chemical_formula_sum 'Mn8 Ni24 H2'
_space_group_name_H-M_alt 'I m -3 m'
_space_group_IT_number 229
_space_group_name_Hall '-I 4 2 3'
_cell_length_a 7.1632
_cell_length_b 7.1632
_cell_length_c 7.1632
_cell_angle_alpha 90.00
_cell_angle_beta 90.00
_cell_angle_gamma 90.00
loop_
_atom_site_label
_atom_site_fract_x
_atom_site_fract_y
_atom_site_fract_z
Mn1 0.2500 0.2500 0.2500
Ni1 0.0000 0.0000 0.2535
Ni2 0.0000 0.2500 0.5000
H1 0.0000 0.0000 0.0000
```

Most intense lines, 2θ from 15° to 90°, sorted by position:
(hkl)	Position (°2θ)	I/Imax
2 2 2	43.8	100
4 0 0	51.0	47
4 4 0	75.0	27

***

# 4
MnNi4H8: theoretical PXRD pattern (a wavelength of 1.5418 Å), based on the GGA-PBE geometry in Alexandria.

Structure:
```
data_MnNi4H8
_chemical_formula_sum 'Mn2 Ni8 H16'
_space_group_name_H-M_alt 'C 1 2/m 1'
_space_group_IT_number 12
_space_group_name_Hall '-C 2y'
_cell_length_a 8.0920
_cell_length_b 4.9798
_cell_length_c 5.7580
_cell_angle_alpha 90.00
_cell_angle_beta 129.42
_cell_angle_gamma 90.00
loop_
_atom_site_label
_atom_site_fract_x
_atom_site_fract_y
_atom_site_fract_z
Mn1 0.0000 0.0000 0.0000
Ni1 0.0000 0.2518 0.5000
Ni2 0.1753 0.5000 0.0065
H1 0.0093 0.0000 0.3266
H2 0.0458 0.5000 0.3432
H3 0.2358 0.2395 0.2149
```

Most intense lines, 2θ from 15° to 90°, sorted by position:
(hkl)	Position (°2θ)	I/Imax
2 0 -1	22.1	61
3 1 -1	38.6	43
3 1 -2	40.2	39
0 0 2	40.6	53
0 2 1	41.6	100
3 1 0	47.3	23

***

# 5
Mn2Ni2H5: theoretical PXRD pattern (a wavelength of 1.5418 Å), based on the GGA-PBE geometry in Alexandria.

Structure:
```
data_Mn2Ni2H5
_chemical_formula_sum 'Mn8 Ni8 H20'
_space_group_name_H-M_alt 'I m a 2'
_space_group_IT_number 46
_space_group_name_Hall 'I 2 -2a'
_cell_length_a 13.1501
_cell_length_b 4.4786
_cell_length_c 4.3294
_cell_angle_alpha 90.00
_cell_angle_beta 90.00
_cell_angle_gamma 90.00
loop_
_atom_site_label
_atom_site_fract_x
_atom_site_fract_y
_atom_site_fract_z
Mn1 0.1339 0.0183 0.0000
Ni1 0.0000 0.0000 0.5174
Ni2 0.2500 0.5510 0.0032
H1 0.0438 0.2416 0.2591
H2 0.1263 0.6085 0.0609
H3 0.2500 0.2368 0.2434
```

Most intense lines, 2θ from 15° to 90°, sorted by position:
(hkl)	Position (°2θ)	I/Imax
4 1 1	39.9	100
0 2 0	40.3	22
0 0 2	41.7	23
0 2 2	59.4	13
4 3 1	72.9	12
4 1 3	74.9	13

***

# 6
MnNi3H3: theoretical PXRD pattern (a wavelength of 1.5418 Å), based on the GGA-PBE geometry in Alexandria.

Structure:
```
data_MnNi3H3
_chemical_formula_sum 'Mn1 Ni3 H3'
_space_group_name_H-M_alt 'P m -3 m'
_space_group_IT_number 221
_space_group_name_Hall '-P 4 2 3'
_cell_length_a 3.7257
_cell_length_b 3.7257
_cell_length_c 3.7257
_cell_angle_alpha 90.00
_cell_angle_beta 90.00
_cell_angle_gamma 90.00
loop_
_atom_site_label
_atom_site_fract_x
_atom_site_fract_y
_atom_site_fract_z
Mn1 0.0000 0.0000 0.0000
Ni1 0.0000 0.5000 0.5000
H1 0.0000 0.0000 0.5000
```

Most intense lines, 2θ from 15° to 90°, sorted by position:
(hkl)	Position (°2θ)	I/Imax
1 1 0	34.0	1
1 1 1	42.0	100
2 0 0	48.9	49
2 2 0	71.6	28
3 1 1	86.7	32